[1]
Diffraction record for Er3Si4. The powder XRD pattern is simulated, not measured: it uses the GGA-PBE geometry in Alexandria and a wavelength of 1.5418 Å.

a b c (Å): 3.934 10.427 13.611
angles (deg): 90.00 90.00 90.00
Space group Cmcm (No. 63)
Inequivalent atoms, fractional coordinates:
Er  0.000  0.023  0.250
Er  0.000  0.317  0.098
Si  0.000  0.000  0.000
Si  0.000  0.253  0.750
Si  0.000  0.395  0.606

Main lines, in order of rising 2θ (2θ from 10° to 90°):
- 2θ 21.5, rel. 29, hkl 0 2 2
- 2θ 25.1, rel. 32, hkl 1 1 1
- 2θ 26.0, rel. 37, hkl 0 2 3
- 2θ 27.6, rel. 42, hkl 1 1 2
- 2θ 31.3, rel. 100, hkl 0 2 4
- 2θ 34.4, rel. 90, hkl 1 3 0
- 2θ 35.0, rel. 28, hkl 0 4 1
- 2θ 35.9, rel. 67, hkl 1 1 4
- 2θ 39.9, rel. 39, hkl 0 4 3
- 2θ 53.6, rel. 31, hkl 1 3 6

[2]
Diffraction record for Er5Si4. The powder XRD pattern is simulated, not measured: it uses the GGA-PBE geometry in Alexandria and a wavelength of 1.5418 Å.

a b c (Å): 7.354 14.422 7.625
angles (deg): 90.00 90.00 90.00
Space group Pnma (No. 62)
Inequivalent atoms, fractional coordinates:
Er  0.027  0.098  0.182
Er  0.149  0.750  0.512
Er  0.181  0.123  0.680
Si  0.022  0.750  0.104
Si  0.148  0.540  0.472
Si  0.232  0.250  0.372

Main lines, in order of rising 2θ (2θ from 10° to 90°):
- 2θ 27.6, rel. 50, hkl 2 1 1
- 2θ 30.6, rel. 48, hkl 2 3 0
- 2θ 32.3, rel. 67, hkl 1 3 2
- 2θ 32.8, rel. 100, hkl 2 3 1
- 2θ 34.2, rel. 71, hkl 0 4 2
- 2θ 34.5, rel. 44, hkl 2 1 2
- 2θ 37.4, rel. 39, hkl 0 6 0
- 2θ 38.0, rel. 36, hkl 1 1 3
- 2θ 38.6, rel. 37, hkl 3 0 1
- 2θ 58.2, rel. 48, hkl 3 4 3

[3]
Diffraction record for Sm2ErSi6. The powder XRD pattern is simulated, not measured: it uses the GGA-PBE geometry in Alexandria and a wavelength of 1.5418 Å.

a b c (Å): 7.1207 7.1207 4.0141
angles (deg): 90.00 90.00 120.00
Space group P6/mmm (No. 191)
Inequivalent atoms, fractional coordinates:
Sm  0.3333  0.6667  0.0000
Er  0.0000  0.0000  0.0000
Si  0.0000  0.3313  0.5000

Main lines, in order of rising 2θ (2θ from 10° to 90°):
- 2θ 22.1, rel. 13, hkl 0 0 1
- 2θ 25.0, rel. 50, hkl 1 1 0
- 2θ 33.6, rel. 100, hkl 1 1 1
- 2θ 44.1, rel. 31, hkl 3 0 0
- 2θ 45.2, rel. 10, hkl 0 0 2
- 2θ 49.8, rel. 10, hkl 3 0 1
- 2θ 52.3, rel. 14, hkl 1 1 2
- 2θ 56.6, rel. 22, hkl 2 2 1
- 2θ 64.9, rel. 20, hkl 3 0 2
- 2θ 74.3, rel. 20, hkl 4 1 1

[4]
Diffraction record for SmEr2Si6. The powder XRD pattern is simulated, not measured: it uses the GGA-PBE geometry in Alexandria and a wavelength of 1.5418 Å.

a b c (Å): 7.0993 7.0993 3.9470
angles (deg): 90.00 90.00 120.00
Space group P6/mmm (No. 191)
Inequivalent atoms, fractional coordinates:
Sm  0.0000  0.0000  0.0000
Er  0.3333  0.6667  0.0000
Si  0.0000  0.3355  0.5000

Main lines, in order of rising 2θ (2θ from 10° to 90°):
- 2θ 22.5, rel. 13, hkl 0 0 1
- 2θ 25.1, rel. 52, hkl 1 1 0
- 2θ 34.0, rel. 100, hkl 1 1 1
- 2θ 44.2, rel. 32, hkl 3 0 0
- 2θ 46.0, rel. 9, hkl 0 0 2
- 2θ 50.2, rel. 10, hkl 3 0 1
- 2θ 53.1, rel. 14, hkl 1 1 2
- 2θ 56.9, rel. 23, hkl 2 2 1
- 2θ 65.7, rel. 19, hkl 3 0 2
- 2θ 74.7, rel. 20, hkl 4 1 1

[5]
Diffraction record for Sm3Er3Si4. The powder XRD pattern is simulated, not measured: it uses the GGA-PBE geometry in Alexandria and a wavelength of 1.5418 Å.

a b c (Å): 4.290 10.648 10.562
angles (deg): 90.00 90.00 90.00
Space group Amm2 (No. 38)
Inequivalent atoms, fractional coordinates:
Sm  0.000  0.000  0.000
Sm  0.000  0.177  0.326
Er  0.000  0.000  0.648
Er  0.500  0.249  0.075
Si  0.500  0.000  0.211
Si  0.500  0.000  0.445
Si  0.500  0.115  0.821

Main lines, in order of rising 2θ (2θ from 10° to 90°):
- 2θ 26.5, rel. 20, hkl 0 3 1
- 2θ 26.7, rel. 44, hkl 1 2 0
- 2θ 26.8, rel. 21, hkl 1 0 2
- 2θ 31.7, rel. 100, hkl 1 2 2
- 2θ 33.9, rel. 55, hkl 0 0 4
- 2θ 34.0, rel. 44, hkl 1 1 3
- 2θ 37.8, rel. 25, hkl 0 4 2
- 2θ 38.0, rel. 26, hkl 0 2 4
- 2θ 42.1, rel. 25, hkl 2 0 0
- 2θ 54.9, rel. 21, hkl 2 4 0

[6]
Diffraction record for Sm2Er3Si4. The powder XRD pattern is simulated, not measured: it uses the GGA-PBE geometry in Alexandria and a wavelength of 1.5418 Å.

a b c (Å): 7.668 7.717 7.410
angles (deg): 90.00 107.03 90.00
Space group P2_1/c (No. 14)
Inequivalent atoms, fractional coordinates:
Sm  0.198  0.178  0.082
Er  0.245  0.680  0.252
Er  0.500  0.000  0.500
Si  0.079  0.531  0.875
Si  0.492  0.120  0.876

Main lines, in order of rising 2θ (2θ from 10° to 90°):
- 2θ 23.0, rel. 43, hkl 1 1 1
- 2θ 26.3, rel. 58, hkl 0 2 1
- 2θ 27.1, rel. 51, hkl 1 1 -2
- 2θ 29.5, rel. 53, hkl 2 0 -2
- 2θ 33.2, rel. 100, hkl 1 1 2
- 2θ 33.4, rel. 90, hkl 2 2 -1
- 2θ 33.7, rel. 97, hkl 2 2 0
- 2θ 37.2, rel. 56, hkl 0 3 1
- 2θ 38.3, rel. 58, hkl 1 1 -3
- 2θ 57.0, rel. 48, hkl 1 3 3

[7]
Diffraction record for SmEr2Si4. The powder XRD pattern is simulated, not measured: it uses the GGA-PBE geometry in Alexandria and a wavelength of 1.5418 Å.

a b c (Å): 3.873 4.235 17.466
angles (deg): 90.00 90.00 90.00
Space group Immm (No. 71)
Inequivalent atoms, fractional coordinates:
Sm  0.000  0.000  0.000
Er  0.000  0.500  0.317
Si  0.000  0.000  0.433
Si  0.000  0.500  0.151

Main lines, in order of rising 2θ (2θ from 10° to 90°):
- 2θ 21.6, rel. 29, hkl 0 1 1
- 2θ 27.7, rel. 65, hkl 1 0 3
- 2θ 30.7, rel. 29, hkl 0 0 6
- 2θ 33.0, rel. 100, hkl 1 1 2
- 2θ 33.2, rel. 58, hkl 0 1 5
- 2θ 37.6, rel. 19, hkl 1 1 4
- 2θ 42.7, rel. 24, hkl 0 2 0
- 2θ 51.6, rel. 24, hkl 1 2 3
- 2θ 52.8, rel. 33, hkl 1 1 8
- 2θ 58.7, rel. 23, hkl 2 1 5

[8]
Diffraction record for SrEr2Si6. The powder XRD pattern is simulated, not measured: it uses the GGA-PBE geometry in Alexandria and a wavelength of 1.5418 Å.

a b c (Å): 12.259 8.630 3.943
angles (deg): 90.00 108.30 90.00
Space group Cm (No. 8)
Inequivalent atoms, fractional coordinates:
Sr  0.000  0.000  0.000
Er  0.150  0.500  0.150
Er  0.351  0.000  0.852
Si  0.001  0.347  0.501
Si  0.187  0.240  0.688
Si  0.315  0.260  0.314

Main lines, in order of rising 2θ (2θ from 10° to 90°):
- 2θ 12.8, rel. 68, hkl 1 1 0
- 2θ 20.6, rel. 46, hkl 0 2 0
- 2θ 24.8, rel. 35, hkl 1 1 -1
- 2θ 25.2, rel. 96, hkl 3 1 0
- 2θ 29.3, rel. 26, hkl 3 1 -1
- 2θ 31.7, rel. 100, hkl 0 2 1
- 2θ 38.8, rel. 41, hkl 4 2 -1
- 2θ 39.0, rel. 53, hkl 3 3 0
- 2θ 39.7, rel. 34, hkl 3 1 1
- 2θ 40.0, rel. 34, hkl 5 1 -1

[9]
Diffraction record for Er5SiTe4. The powder XRD pattern is simulated, not measured: it uses the GGA-PBE geometry in Alexandria and a wavelength of 1.5418 Å.

a b c (Å): 9.624 9.624 6.018
angles (deg): 90.00 90.00 90.00
Space group I4/m (No. 87)
Inequivalent atoms, fractional coordinates:
Er  0.000  0.000  0.000
Er  0.096  0.730  0.500
Si  0.000  0.000  0.500
Te  0.091  0.693  0.000

Main lines, in order of rising 2θ (2θ from 10° to 90°):
- 2θ 25.4, rel. 17, hkl 1 2 1
- 2θ 29.3, rel. 100, hkl 3 1 0
- 2θ 29.7, rel. 51, hkl 0 0 2
- 2θ 36.8, rel. 11, hkl 2 3 1
- 2θ 42.0, rel. 33, hkl 2 4 0
- 2θ 42.2, rel. 74, hkl 3 1 2
- 2θ 52.3, rel. 35, hkl 2 4 2
- 2θ 69.2, rel. 12, hkl 6 2 2
- 2θ 69.7, rel. 17, hkl 3 1 4
- 2θ 76.9, rel. 16, hkl 1 7 2

[10]
Diffraction record for Er5SiTe2. The powder XRD pattern is simulated, not measured: it uses the GGA-PBE geometry in Alexandria and a wavelength of 1.5418 Å.

a b c (Å): 5.862 12.135 13.538
angles (deg): 90.00 90.00 90.00
Space group Cmcm (No. 63)
Inequivalent atoms, fractional coordinates:
Er  0.000  0.054  0.123
Er  0.000  0.327  0.750
Er  0.000  0.384  0.098
Si  0.000  0.230  0.250
Te  0.000  0.190  0.561

Main lines, in order of rising 2θ (2θ from 10° to 90°):
- 2θ 24.6, rel. 61, hkl 0 2 3
- 2θ 27.6, rel. 63, hkl 1 3 1
- 2θ 30.2, rel. 31, hkl 0 2 4
- 2θ 30.5, rel. 100, hkl 2 0 0
- 2θ 33.4, rel. 83, hkl 1 3 3
- 2θ 35.7, rel. 34, hkl 0 4 3
- 2θ 37.3, rel. 30, hkl 1 1 5
- 2θ 39.6, rel. 35, hkl 2 2 3
- 2θ 40.8, rel. 26, hkl 2 0 4
- 2θ 47.6, rel. 30, hkl 2 4 3

[11]
Diffraction record for ErThSi. The powder XRD pattern is simulated, not measured: it uses the GGA-PBE geometry in Alexandria and a wavelength of 1.5418 Å.

a b c (Å): 8.700 11.976 13.115
angles (deg): 90.00 90.00 90.00
Space group Fddd (No. 70, origin choice 2)
Inequivalent atoms, fractional coordinates:
Er  0.125  0.125  0.256
Th  0.000  0.000  0.500
Si  0.125  0.314  0.125

Main lines, in order of rising 2θ (2θ from 10° to 90°):
- 2θ 25.5, rel. 81, hkl 1 3 1
- 2θ 27.2, rel. 74, hkl 0 0 4
- 2θ 28.8, rel. 100, hkl 2 2 2
- 2θ 32.1, rel. 75, hkl 1 3 3
- 2θ 32.5, rel. 58, hkl 3 1 1
- 2θ 37.5, rel. 34, hkl 2 2 4
- 2θ 38.0, rel. 37, hkl 3 1 3
- 2θ 39.6, rel. 38, hkl 1 5 1
- 2θ 52.0, rel. 31, hkl 4 4 0
- 2θ 59.6, rel. 40, hkl 4 4 4

[12]
Diffraction record for Er2ThSi4. The powder XRD pattern is simulated, not measured: it uses the GGA-PBE geometry in Alexandria and a wavelength of 1.5418 Å.

a b c (Å): 3.923 4.244 17.449
angles (deg): 90.00 90.00 90.00
Space group Immm (No. 71)
Inequivalent atoms, fractional coordinates:
Er  0.000  0.000  0.183
Th  0.000  0.500  0.500
Si  0.000  0.000  0.349
Si  0.000  0.500  0.067

Main lines, in order of rising 2θ (2θ from 10° to 90°):
- 2θ 21.6, rel. 40, hkl 0 1 1
- 2θ 27.4, rel. 68, hkl 1 0 3
- 2θ 30.7, rel. 29, hkl 0 0 6
- 2θ 32.7, rel. 100, hkl 1 1 2
- 2θ 33.2, rel. 55, hkl 0 1 5
- 2θ 37.4, rel. 25, hkl 1 1 4
- 2θ 42.6, rel. 22, hkl 0 2 0
- 2θ 51.4, rel. 25, hkl 1 2 3
- 2θ 52.6, rel. 34, hkl 1 1 8
- 2θ 58.2, rel. 23, hkl 2 1 5

[13]
Diffraction record for Er6Tl2Si. The powder XRD pattern is simulated, not measured: it uses the GGA-PBE geometry in Alexandria and a wavelength of 1.5418 Å.

a b c (Å): 8.3857 8.3857 4.0047
angles (deg): 90.00 90.00 120.00
Space group P-62m (No. 189)
Inequivalent atoms, fractional coordinates:
Er  0.0000  0.3918  0.0000
Er  0.0000  0.7492  0.5000
Tl  0.3333  0.6667  0.5000
Si  0.0000  0.0000  0.0000

Main lines, in order of rising 2θ (2θ from 10° to 90°):
- 2θ 30.9, rel. 100, hkl 1 1 1
- 2θ 32.6, rel. 53, hkl 2 1 0
- 2θ 33.3, rel. 48, hkl 2 0 1
- 2θ 37.1, rel. 38, hkl 3 0 0
- 2θ 39.8, rel. 23, hkl 2 1 1
- 2θ 45.3, rel. 18, hkl 0 0 2
- 2θ 56.9, rel. 22, hkl 2 1 2
- 2θ 60.0, rel. 19, hkl 3 0 2
- 2θ 60.2, rel. 24, hkl 3 2 1
- 2θ 63.1, rel. 17, hkl 4 1 1